Diffraction record for Cu4Pd. The X-ray diffraction stick pattern is computed, not measured: it uses a DFT-relaxed cell (GGA-PBE, Alexandria) and a wavelength of 1.5418 Å.
Peak positions follow from Bragg's law for the DFT cell and can differ from measured ones.

Cell lengths 3.7323, 4.5197, 4.5267 Å; angles 80.51, 65.73, 65.87 degrees
Space group P-1 (No. 2)
Symmetry-distinct sites (fractional):
Cu (0.0957, 0.2080, 0.1007) (multiplicity 2)
Cu (0.3032, 0.6006, 0.2921) (multiplicity 2)
Pd (0.5000, 0.0000, 0.5000) (multiplicity 1)

The 10 most intense peaks (2θ from 10° to 80°), low angle first:
2θ/deg	I_rel
42.19	1000
42.33	978
48.80	316
49.31	309
49.48	306
71.86	184
71.94	93
72.23	91
72.36	89
72.52	89